Calculated X-ray diffraction stick pattern
Compound: BaSrCd2F8
Radiation: copper Kα
Structure: a crystal structure in Alexandria, relaxed with GGA-PBE
Intensities are scaled so that the largest is 100.

Top 6 peaks for 2θ = 10–90°, low angle first:
d [Å], Position (°2θ), I (rel.)
3.396, 26.2, 100.0
2.922, 30.6, 15.1
2.086, 43.4, 39.7
2.066, 43.8, 20.1
1.790, 51.0, 15.5
1.765, 51.8, 29.6

Atomic structure:
```
BaSrCd2F8
1.0
-2.922 2.922 5.958
2.922 -2.922 5.958
2.922 2.922 -5.958
Ba Sr Cd F
1 1 2 8
Cartesian
0.000 0.000 0.000
2.922 0.000 2.979
0.000 0.000 5.958
0.000 2.922 2.979
1.523 1.255 -1.818
1.439 -1.132 4.707
1.790 1.483 1.251
1.667 -1.399 7.776
1.483 4.054 -1.251
1.399 1.667 4.140
1.132 1.439 7.209
1.255 4.321 1.818
```

Calculated X-ray diffraction stick pattern
Compound: Pr8TmSc3
Radiation: copper Kα
Structure: a crystal structure in Alexandria, relaxed with GGA-PBE
Intensities are scaled so that the largest is 100.

Top 6 peaks for 2θ = 10–90°, low angle first:
d [Å], Position (°2θ), I (rel.)
5.789, 15.3, 56.7
5.407, 16.4, 32.2
2.950, 30.3, 64.3
2.897, 30.9, 81.5
2.795, 32.0, 100.0
2.590, 34.6, 90.6

Atomic structure:
```
Pr8TmSc3
1.0
-3.427 5.407 5.796
3.427 -5.407 5.796
3.427 5.407 -5.796
Pr Tm Sc
8 1 3
Cartesian
3.427 3.640 -2.914
1.897 2.305 0.000
4.956 2.305 0.000
0.000 1.767 2.881
3.427 3.640 2.914
-1.530 3.102 5.796
1.530 3.102 5.796
0.000 1.767 8.710
0.000 0.000 5.796
0.000 0.000 0.000
3.427 0.000 2.479
0.000 5.407 3.316
```

Calculated X-ray diffraction stick pattern
Compound: La4TbTe7
Radiation: copper Kα
Structure: a crystal structure in Alexandria, relaxed with GGA-PBE
Intensities are scaled so that the largest is 100.

Top 6 peaks for 2θ = 10–90°, low angle first:
d [Å], Position (°2θ), I (rel.)
3.364, 26.5, 62.0
3.296, 27.1, 80.3
3.139, 28.4, 100.0
3.037, 29.4, 67.7
2.857, 31.3, 57.9
2.215, 40.7, 65.0

Atomic structure:
```
La4TbTe7
1.0
7.447 -2.215 0.000
7.447 2.215 0.000
-3.467 0.000 13.070
La Tb Te
4 1 7
Cartesian
0.000 0.000 0.000
0.150 0.000 9.978
7.414 0.000 4.943
11.227 0.000 7.433
10.976 0.000 1.923
1.532 0.000 2.899
1.531 0.000 6.811
5.403 0.000 0.966
6.006 0.000 8.122
6.158 0.000 12.114
9.914 0.000 10.299
12.529 0.000 4.552
```

Calculated X-ray diffraction stick pattern
Compound: HoTe2S6
Radiation: copper Kα
Structure: a crystal structure in Alexandria, relaxed with GGA-PBE
Intensities are scaled so that the largest is 100.

Top 6 peaks for 2θ = 10–90°, low angle first:
d [Å], Position (°2θ), I (rel.)
5.436, 16.3, 100.0
4.022, 22.1, 96.8
3.999, 22.2, 77.6
3.334, 26.7, 39.1
3.223, 27.7, 38.6
3.079, 29.0, 34.9

Atomic structure:
```
HoTe2S6
1.0
7.289 0.000 0.000
-0.225 7.915 0.000
-1.247 -1.030 8.732
Ho Te S
2 4 12
Cartesian
0.982 2.208 0.874
4.834 4.678 7.857
0.439 0.574 5.290
1.727 4.005 6.377
4.089 2.881 2.355
5.377 6.312 3.442
-0.039 7.484 0.952
-0.341 2.790 7.275
0.466 6.347 3.931
1.225 2.162 3.715
2.415 4.435 1.842
2.292 5.624 7.994
3.524 1.262 0.738
3.401 2.451 6.890
4.591 4.723 5.017
5.350 0.539 4.801
6.158 4.096 1.457
5.855 -0.598 7.779
```

Calculated X-ray diffraction stick pattern
Compound: Cd5In2Ga
Radiation: copper Kα
Structure: a crystal structure in Alexandria, relaxed with GGA-PBE
Intensities are scaled so that the largest is 100.

Top 6 peaks for 2θ = 10–90°, low angle first:
d [Å], Position (°2θ), I (rel.)
2.716, 33.0, 88.7
2.669, 33.6, 81.7
2.616, 34.3, 77.8
2.475, 36.3, 67.3
2.297, 39.2, 53.1
2.248, 40.1, 100.0

Atomic structure:
```
Cd5In2Ga
1.0
5.549 0.000 0.000
-0.769 5.725 0.000
-0.412 -1.957 5.879
Cd In Ga
5 2 1
Cartesian
0.000 0.000 0.000
-0.954 4.708 2.906
0.963 2.057 2.087
1.889 5.096 1.440
3.829 2.651 0.670
1.655 4.210 4.433
3.643 1.602 3.633
0.752 1.119 5.042
```

Calculated X-ray diffraction stick pattern
Compound: KCaZnS2
Radiation: copper Kα
Structure: a crystal structure in Alexandria, relaxed with GGA-PBE
Intensities are scaled so that the largest is 100.

Top 6 peaks for 2θ = 10–90°, low angle first:
d [Å], Position (°2θ), I (rel.)
7.181, 12.3, 100.0
3.765, 23.6, 37.3
3.519, 25.3, 58.1
3.007, 29.7, 58.7
2.739, 32.7, 61.7
1.794, 50.9, 31.7

Atomic structure:
```
KCaZnS2
1.0
7.278 0.000 0.000
0.000 4.995 0.000
-1.322 0.000 8.001
K Ca Zn S
2 2 2 4
Cartesian
-0.330 0.780 2.000
-0.991 4.215 6.001
2.648 2.457 6.001
3.309 2.539 2.000
3.639 0.000 0.000
2.978 0.000 4.001
0.665 1.573 7.742
1.326 3.423 3.742
4.631 1.573 4.259
5.292 3.423 0.259
```